Starting from a DFT-relaxed cell (GGA-PBE, Alexandria), the powder diffractogram of Rb3Au3Br8 was calculated for CuKα.
Lines closer than 0.1° are merged.

Cell and atoms:
```
Rb3Au3Br8
1.0
6.477 -4.010 0.000
6.477 4.010 0.000
-1.898 0.000 19.428
Rb Au Br
6 6 16
Direct
0.001 0.999 0.750 Rb
0.300 0.331 0.411 Rb
0.331 0.300 0.911 Rb
0.669 0.700 0.089 Rb
0.700 0.669 0.589 Rb
0.999 0.001 0.250 Rb
0.000 0.000 0.000 Au
0.000 0.000 0.500 Au
0.346 0.392 0.181 Au
0.392 0.346 0.681 Au
0.608 0.654 0.319 Au
0.654 0.608 0.819 Au
0.049 0.514 0.246 Br
0.152 0.720 0.080 Br
0.158 0.197 0.563 Br
0.197 0.158 0.063 Br
0.257 0.653 0.621 Br
0.280 0.848 0.420 Br
0.347 0.743 0.879 Br
0.486 0.951 0.254 Br
0.514 0.049 0.746 Br
0.653 0.257 0.121 Br
0.720 0.152 0.580 Br
0.743 0.347 0.379 Br
0.803 0.842 0.937 Br
0.842 0.803 0.437 Br
0.848 0.280 0.920 Br
0.951 0.486 0.754 Br
```

Top 10 peaks for 10° ≤ 2θ ≤ 80°, in order of rising 2θ:
2theta, d [Å], I (rel.)
15.50, 5.716, 72
17.23, 5.146, 29
21.81, 4.074, 18
22.17, 4.010, 19
23.03, 3.862, 53
23.49, 3.788, 39
31.17, 2.869, 18
31.30, 2.858, 100
34.87, 2.573, 23
50.77, 1.798, 17

---

Starting from a DFT-relaxed cell (GGA-PBE, Alexandria), the powder diffractogram of CeErTm3 was calculated for CuKα.
Lines closer than 0.1° are merged.

Cell and atoms:
```
CeErTm3
1.0
4.375 -7.253 0.000
4.375 7.253 0.000
-2.140 0.000 9.572
Ce Er Tm
4 4 12
Direct
0.191 0.283 0.044 Ce
0.283 0.191 0.544 Ce
0.717 0.809 0.456 Ce
0.809 0.717 0.956 Ce
0.011 0.989 0.250 Er
0.399 0.601 0.750 Er
0.601 0.399 0.250 Er
0.989 0.011 0.750 Er
0.026 0.581 0.178 Tm
0.117 0.741 0.551 Tm
0.259 0.883 0.949 Tm
0.301 0.502 0.381 Tm
0.419 0.974 0.322 Tm
0.498 0.699 0.119 Tm
0.502 0.301 0.881 Tm
0.581 0.026 0.678 Tm
0.699 0.498 0.619 Tm
0.741 0.117 0.051 Tm
0.883 0.259 0.449 Tm
0.974 0.419 0.822 Tm
```

Top 10 peaks for 10° ≤ 2θ ≤ 80°, in order of rising 2θ:
2theta, d [Å], I (rel.)
29.74, 3.004, 31
30.61, 2.921, 30
31.38, 2.850, 46
32.42, 2.762, 31
32.60, 2.747, 43
33.37, 2.685, 100
33.53, 2.673, 24
51.53, 1.773, 11
52.40, 1.746, 14
57.03, 1.615, 11

---

Starting from a DFT-relaxed cell (GGA-PBE, Alexandria), the powder diffractogram of TaBe17V was calculated for CuKα.
Lines closer than 0.1° are merged.

Cell and atoms:
```
TaBe17V
1.0
3.650 2.107 3.551
-3.650 2.107 3.551
0.000 -4.214 3.551
Ta Be V
1 17 1
Direct
0.000 0.000 0.000 Ta
0.010 0.010 0.496 Be
0.010 0.496 0.010 Be
0.159 0.663 0.663 Be
0.314 0.314 0.819 Be
0.314 0.819 0.314 Be
0.364 0.658 0.960 Be
0.364 0.960 0.658 Be
0.496 0.010 0.010 Be
0.559 0.559 0.559 Be
0.658 0.364 0.960 Be
0.658 0.960 0.364 Be
0.663 0.159 0.663 Be
0.663 0.663 0.159 Be
0.759 0.759 0.759 Be
0.819 0.314 0.314 Be
0.960 0.364 0.658 Be
0.960 0.658 0.364 Be
0.321 0.321 0.321 V
```

Top 10 peaks for 10° ≤ 2θ ≤ 80°, in order of rising 2θ:
2theta, d [Å], I (rel.)
16.31, 5.436, 100
21.82, 4.073, 48
24.39, 3.650, 73
25.08, 3.551, 23
29.48, 3.030, 28
35.27, 2.545, 69
38.62, 2.331, 27
42.92, 2.107, 25
50.36, 1.812, 36
51.41, 1.778, 23